Structure and theoretical powder X-ray diffraction pattern of Tm2Sc3In (the GGA-PBE geometry in Alexandria; Cu Kα, 1.54184 Å).
Neutral-atom scattering factors, no anomalous dispersion.

Main lines, in order of rising 2θ (2θ = 10–80°):
2θ = 19.2°, I = 28
2θ = 26.9°, I = 25
2θ = 33.2°, I = 100
2θ = 37.7°, I = 17
2θ = 38.9°, I = 32
2θ = 55.3°, I = 22
2θ = 65.2°, I = 13
2θ = 66.9°, I = 25

Structure:
a b c (Å): 7.5185 7.5185 4.6302
angles (deg): 90.00 90.00 144.18
Element x y z (fractional)
Tm 0.1613 0.8387 0.0000
Tm 0.8387 0.1613 0.0000
Sc 0.0000 0.0000 0.5000
Sc 0.3318 0.6682 0.5000
Sc 0.6682 0.3318 0.5000
In 0.5000 0.5000 0.0000